Diffraction record for LaPm6PrEr2. The powder XRD pattern is theoretical, not measured: it uses a DFT-relaxed cell (GGA-PBE, Alexandria) and λ = 1.5418 Å (Cu Kα).
Kinematic intensities with the Lorentz-polarization factor, no thermal factor.

Peak list (12 most intense, 15 to 90 degrees two-theta, by intensity)
2θ (°), intensity
30.57, 100.0
29.70, 94.8
30.12, 84.7
28.01, 72.7
31.02, 64.7
31.92, 63.7
33.36, 59.3
30.88, 54.8
30.31, 33.7
58.26, 30.1
33.95, 26.7
27.54, 25.8

Atomic structure:
```
data_LaPm6PrEr2
_cell_length_a 8.947
_cell_length_b 8.947
_cell_length_c 9.735
_cell_angle_alpha 93.66
_cell_angle_beta 93.66
_cell_angle_gamma 116.69
_symmetry_space_group_name_H-M 'P 1'
_symmetry_Int_Tables_number 1
loop_
_symmetry_equiv_pos_as_xyz
'x,y,z'
loop_
_atom_site_label
_atom_site_fract_x
_atom_site_fract_y
_atom_site_fract_z
La1 0.094 0.906 0.750
La2 0.906 0.094 0.250
Pm1 0.017 0.796 0.381
Pm2 0.061 0.517 0.179
Pm3 0.204 0.983 0.119
Pm4 0.258 0.608 0.558
Pm5 0.392 0.742 0.942
Pm6 0.483 0.939 0.321
Pm7 0.517 0.061 0.679
Pm8 0.608 0.258 0.058
Pm9 0.742 0.392 0.442
Pm10 0.796 0.017 0.881
Pm11 0.939 0.483 0.821
Pm12 0.983 0.204 0.619
Pr1 0.465 0.535 0.250
Pr2 0.535 0.465 0.750
Er1 0.205 0.302 0.950
Er2 0.302 0.205 0.450
Er3 0.698 0.795 0.550
Er4 0.795 0.698 0.050
```

Diffraction record for La6PmPrEr2. The powder XRD pattern is theoretical, not measured: it uses a DFT-relaxed cell (GGA-PBE, Alexandria) and λ = 1.5418 Å (Cu Kα).
Kinematic intensities with the Lorentz-polarization factor, no thermal factor.

Peak list (12 most intense, 15 to 90 degrees two-theta, by intensity)
2θ (°), intensity
29.95, 100.0
30.69, 90.7
30.87, 70.2
32.04, 53.1
29.40, 52.0
26.55, 50.7
32.47, 35.8
34.34, 32.6
54.68, 32.0
50.22, 30.8
32.35, 28.7
55.72, 25.9

Atomic structure:
```
data_La6PmPrEr2
_cell_length_a 6.737
_cell_length_b 6.737
_cell_length_c 8.949
_cell_angle_alpha 100.68
_cell_angle_beta 100.68
_cell_angle_gamma 65.30
_symmetry_space_group_name_H-M 'P 1'
_symmetry_Int_Tables_number 1
loop_
_symmetry_equiv_pos_as_xyz
'x,y,z'
loop_
_atom_site_label
_atom_site_fract_x
_atom_site_fract_y
_atom_site_fract_z
La1 0.102 0.544 0.198
La2 0.142 0.142 0.442
La3 0.456 0.898 0.802
La4 0.544 0.102 0.198
La5 0.858 0.858 0.558
La6 0.898 0.456 0.802
Pm1 0.500 0.500 0.500
Pr1 0.000 0.000 0.000
Er1 0.407 0.407 0.840
Er2 0.593 0.593 0.160
```

Diffraction record for LaPm2Er4Sc. The powder XRD pattern is theoretical, not measured: it uses a DFT-relaxed cell (GGA-PBE, Alexandria) and λ = 1.5418 Å (Cu Kα).
Kinematic intensities with the Lorentz-polarization factor, no thermal factor.

Peak list (12 most intense, 15 to 90 degrees two-theta, by intensity)
2θ (°), intensity
32.26, 100.0
30.83, 56.4
55.74, 42.3
44.16, 21.1
58.41, 18.3
67.51, 11.8
72.94, 9.5
73.72, 9.2
48.31, 8.1
79.87, 7.3
64.23, 6.9
84.27, 6.5

Atomic structure:
```
data_LaPm2Er4Sc
_cell_length_a 5.801
_cell_length_b 5.801
_cell_length_c 7.536
_cell_angle_alpha 90.00
_cell_angle_beta 90.00
_cell_angle_gamma 90.00
_symmetry_space_group_name_H-M 'P 1'
_symmetry_Int_Tables_number 1
loop_
_symmetry_equiv_pos_as_xyz
'x,y,z'
loop_
_atom_site_label
_atom_site_fract_x
_atom_site_fract_y
_atom_site_fract_z
La1 0.000 0.000 0.000
Pm1 0.000 0.000 0.500
Pm2 0.500 0.500 0.500
Er1 0.000 0.500 0.245
Er2 0.000 0.500 0.755
Er3 0.500 0.000 0.245
Er4 0.500 0.000 0.755
Sc1 0.500 0.500 0.000
```

Diffraction record for La2PmEr5Sc. The powder XRD pattern is theoretical, not measured: it uses a DFT-relaxed cell (GGA-PBE, Alexandria) and λ = 1.5418 Å (Cu Kα).
Kinematic intensities with the Lorentz-polarization factor, no thermal factor.

Peak list (12 most intense, 15 to 90 degrees two-theta, by intensity)
2θ (°), intensity
32.63, 100.0
31.99, 45.4
30.43, 39.0
26.96, 24.6
57.41, 19.9
28.53, 17.7
62.05, 13.4
34.11, 12.2
51.64, 11.7
60.44, 11.6
43.38, 11.3
45.39, 10.6

Atomic structure:
```
data_La2PmEr5Sc
_cell_length_a 10.223
_cell_length_b 10.223
_cell_length_c 10.515
_cell_angle_alpha 90.00
_cell_angle_beta 90.00
_cell_angle_gamma 148.23
_symmetry_space_group_name_H-M 'P 1'
_symmetry_Int_Tables_number 1
loop_
_symmetry_equiv_pos_as_xyz
'x,y,z'
loop_
_atom_site_label
_atom_site_fract_x
_atom_site_fract_y
_atom_site_fract_z
La1 0.114 0.886 0.500
La2 0.116 0.884 0.919
La3 0.884 0.116 0.419
La4 0.886 0.114 0.000
Pm1 0.413 0.587 0.648
Pm2 0.587 0.413 0.148
Er1 0.016 0.984 0.207
Er2 0.277 0.723 0.507
Er3 0.296 0.704 0.889
Er4 0.376 0.624 0.205
Er5 0.483 0.517 0.926
Er6 0.517 0.483 0.426
Er7 0.624 0.376 0.705
Er8 0.704 0.296 0.389
Er9 0.723 0.277 0.007
Er10 0.984 0.016 0.707
Sc1 0.199 0.801 0.200
Sc2 0.801 0.199 0.700
```